Starting from a cell relaxed with PBE, the XRD peak list of Sc5Os2O12 was simulated for CuKα.
Neutral-atom scattering factors, no anomalous dispersion.

Structural model:
```
data_Sc5Os2O12
_chemical_formula_sum 'Sc10 Os4 O24'
_cell_length_a 11.8012
_cell_length_b 5.4795
_cell_length_c 7.1588
_cell_angle_alpha 90.00
_cell_angle_beta 107.15
_cell_angle_gamma 90.00
_space_group_name_H-M_alt 'C 1 2/m 1'
_space_group_IT_number 12
loop_
_space_group_symop_operation_xyz
'x,y,z'
'-x,-y,-z'
'-x,y,-z'
'x,-y,z'
'x+1/2,y+1/2,z'
'-x+1/2,-y+1/2,-z'
'-x+1/2,y+1/2,-z'
'x+1/2,-y+1/2,z'
loop_
_atom_site_label
_atom_site_fract_x
_atom_site_fract_y
_atom_site_fract_z
Sc1 0.0000 0.0000 0.0000
Sc2 0.1885 0.5000 0.3069
Sc3 0.2059 0.5000 0.8618
Os1 0.0000 0.2217 0.5000
O1 0.0062 0.5000 0.3168
O2 0.0141 0.0000 0.2937
O3 0.1489 0.2518 0.0620
O4 0.1746 0.2546 0.6097
```

The 12 most intense peaks (10 to 90 degrees two-theta), in order of rising 2θ:
12.94°, rel. 100; 15.72°, rel. 53; 17.18°, rel. 66; 23.22°, rel. 42; 26.05°, rel. 25; 26.19°, rel. 36; 28.80°, rel. 23; 31.74°, rel. 26; 35.29°, rel. 29; 37.15°, rel. 23; 42.31°, rel. 52; 50.93°, rel. 26